Starting from a crystal structure in Alexandria, relaxed with GGA-PBE, the powder X-ray diffraction pattern of Pm3YEr4 was calculated for Cu Kα X-rays.

Main lines, by intensity (2θ = 15–90°):
| d/Å | two_theta | I (rel.) | index |
| --- | --- | --- | --- |
| 2.880 | 31.1 | 100 | 6 0 -2 |
| 2.816 | 31.8 | 45 | 8 0 0 |
| 2.710 | 33.1 | 42 | 5 1 -1 |
| 1.490 | 62.3 | 27 | 6 2 -2 |
| 3.442 | 25.9 | 26 | 1 1 0 |
| 3.091 | 28.9 | 26 | 1 1 -1 |
| 2.299 | 39.2 | 25 | 1 1 2 |
| 2.364 | 38.1 | 18 | 7 1 0 |
| 1.741 | 52.6 | 16 | 0 2 0 |
| 1.638 | 56.2 | 16 | 14 0 -2 |

Crystal structure
a = 23.497 Å, b = 3.483 Å, c = 6.703 Å
α = 90.00°, β = 106.51°, γ = 90.00°
Fractional positions:
1 Pm 0.000 0.000 0.000
2 Pm 0.127 0.000 0.874
3 Pm 0.373 0.500 0.126
4 Pm 0.500 0.500 0.000
5 Pm 0.627 0.500 0.874
6 Pm 0.873 0.000 0.126
7 Y 0.000 0.500 0.500
8 Y 0.500 0.000 0.500
9 Er 0.125 0.000 0.386
10 Er 0.240 0.500 0.731
11 Er 0.260 0.000 0.269
12 Er 0.375 0.500 0.614
13 Er 0.625 0.500 0.386
14 Er 0.740 0.000 0.731
15 Er 0.760 0.500 0.269
16 Er 0.875 0.000 0.614